Record 1
# Mg3Cr
Theoretical XRD peak list, copper Kα. Input: a DFT-relaxed cell (PBE, the Materials Project).

Cell and atoms:
Cell lengths 5.342, 5.342, 5.342 Å; angles 131.97, 131.97, 70.28 degrees
Fractional positions:
Mg 0.000 0.000 0.000
Mg 0.250 0.750 0.500
Mg 0.750 0.250 0.500
Cr 0.500 0.500 0.000

Largest 6 diffraction maxima, in order of rising 2θ, 2θ from 10° to 90°:
two_theta, I/Imax
22.84, 16
35.71, 100
41.34, 16
41.54, 32
60.04, 20
72.00, 22


Record 2
# Mg3Cr
Theoretical XRD peak list, copper Kα. Input: a DFT-relaxed cell (PBE, the Materials Project).

Cell and atoms:
Cell lengths 6.187, 6.187, 4.982 Å; angles 90.00, 90.00, 120.00 degrees
Fractional positions:
Mg 0.171 0.342 0.250
Mg 0.171 0.829 0.250
Mg 0.342 0.171 0.750
Mg 0.658 0.829 0.250
Mg 0.829 0.171 0.750
Mg 0.829 0.658 0.750
Cr 0.333 0.667 0.750
Cr 0.667 0.333 0.250

Largest 6 diffraction maxima, in order of rising 2θ, 2θ from 10° to 90°:
two_theta, I/Imax
33.45, 24
36.05, 26
38.14, 100
59.79, 16
66.21, 17
71.84, 18


Record 3
# MgMnCrS4
Theoretical XRD peak list, copper Kα. Input: a DFT-relaxed cell (PBE, the Materials Project).

Cell and atoms:
Cell lengths 7.255, 7.255, 7.255 Å; angles 120.03, 119.96, 90.01 degrees
Fractional positions:
Mg 0.376 0.126 0.250
Mg 0.624 0.874 0.750
Mn 0.000 0.000 0.500
Mn 0.000 0.500 0.000
Cr 0.000 0.500 0.500
Cr 0.500 0.500 0.000
S 0.213 0.735 0.477
S 0.240 0.268 0.528
S 0.240 0.712 0.972
S 0.242 0.265 0.977
S 0.758 0.735 0.023
S 0.760 0.288 0.028
S 0.760 0.732 0.472
S 0.787 0.265 0.523

Largest 6 diffraction maxima, in order of rising 2θ, 2θ from 10° to 90°:
two_theta, I/Imax
14.96, 75
28.86, 72
34.98, 100
45.96, 47
50.31, 95
84.45, 20


Record 4
# Mg6CrMo
Theoretical XRD peak list, copper Kα. Input: a DFT-relaxed cell (PBE, the Materials Project).

Cell and atoms:
Cell lengths 4.930, 6.148, 6.148 Å; angles 57.88, 90.00, 90.00 degrees
Fractional positions:
Mg 0.000 0.000 0.000
Mg 0.000 0.018 0.508
Mg 0.000 0.499 0.499
Mg 0.000 0.508 0.018
Mg 0.500 0.345 0.843
Mg 0.500 0.843 0.345
Cr 0.500 0.842 0.842
Mo 0.500 0.346 0.346

Largest 6 diffraction maxima, in order of rising 2θ, 2θ from 10° to 90°:
two_theta, I/Imax
16.48, 38
17.99, 26
34.44, 38
36.45, 41
38.11, 59
39.13, 100